The following is a computed powder X-ray diffraction pattern of Li7Mn2Co3O12. It was derived from DFT lattice parameters and positions (GGA+U), using Cu Kα (λ = 1.5418 Å).

Largest 8 diffraction maxima, low angle first, 2θ from 15° to 90°:
2θ (°)	Rel. int.	(hkl)
18.41	100	0 1 1
35.42	15	1 -1 2
36.66	24	2 1 1
42.67	31	1 -2 1
44.27	27	1 0 -3
44.60	27	2 2 2
62.84	8	-2 2 2
63.49	15	3 0 3

Atomic structure:
```
Li7Mn2Co3O12
1.0
4.991 0.000 0.000
1.463 5.692 0.000
1.736 1.013 7.443
Li Mn Co O
7 2 3 12
Direct
0.000 0.000 0.000
0.000 0.500 0.000
0.001 0.337 0.670
0.490 0.171 0.835
0.500 0.500 0.500
0.510 0.829 0.165
0.999 0.663 0.330
0.499 0.659 0.835
0.501 0.341 0.165
0.004 0.823 0.673
0.500 0.000 0.500
0.996 0.177 0.327
0.246 0.841 0.438
0.250 0.169 0.107
0.254 0.323 0.402
0.260 0.967 0.755
0.265 0.506 0.754
0.282 0.645 0.077
0.718 0.355 0.923
0.735 0.494 0.246
0.740 0.033 0.245
0.746 0.677 0.598
0.750 0.831 0.893
0.754 0.159 0.562
```